# 1
TaBe4Mo: theoretical XRD peak list (Cu Kα, 1.54184 Å), based on a crystal structure in the Materials Project, relaxed with GGA-PBE.

```
data_TaBe4Mo
_symmetry_space_group_name_H-M 'P -3 m 1'
_symmetry_Int_Tables_number 164
_symmetry_space_group_name_Hall '-P 3 2"'
_cell_length_a 4.5457
_cell_length_b 4.5457
_cell_length_c 7.4011
_cell_angle_alpha 90.00
_cell_angle_beta 90.00
_cell_angle_gamma 120.00
loop_
_atom_site_label
_atom_site_type_symbol
_atom_site_fract_x
_atom_site_fract_y
_atom_site_fract_z
Ta1 Ta 0.3333 0.6667 0.4287
Be1 Be 0.0000 0.0000 0.0000
Be2 Be 0.0000 0.0000 0.5000
Be3 Be 0.1709 0.3418 0.7532
Mo1 Mo 0.3333 0.6667 0.0609
```

The 10 most intense peaks (5° ≤ 2θ ≤ 70°), by intensity:
43.28°, rel. 100.0, hkl 1 0 3
39.66°, rel. 90.0, hkl 1 1 0
22.59°, rel. 83.6, hkl 1 0 0
25.63°, rel. 72.3, hkl 0 1 1
46.91°, rel. 54.3, hkl 1 1 2
33.23°, rel. 43.8, hkl 0 1 2
24.05°, rel. 41.2, hkl 0 0 2
60.14°, rel. 31.4, hkl 2 0 3
11.96°, rel. 30.7, hkl 0 0 1
47.82°, rel. 19.5, hkl 2 0 1

=====

# 2
Na3InF6: theoretical XRD peak list (Cu Kα, 1.54184 Å), based on a crystal structure in the Materials Project, relaxed with GGA-PBE.

```
data_Na3InF6
_symmetry_space_group_name_H-M 'F m -3 m'
_symmetry_Int_Tables_number 225
_symmetry_space_group_name_Hall '-F 4 2 3'
_cell_length_a 8.5695
_cell_length_b 8.5695
_cell_length_c 8.5695
_cell_angle_alpha 90.00
_cell_angle_beta 90.00
_cell_angle_gamma 90.00
loop_
_atom_site_label
_atom_site_type_symbol
_atom_site_fract_x
_atom_site_fract_y
_atom_site_fract_z
Na1 Na 0.0000 0.0000 0.0000
Na2 Na 0.2500 0.2500 0.2500
In1 In 0.0000 0.0000 0.5000
F1 F 0.0000 0.0000 0.2567
```

The 10 most intense peaks (5° ≤ 2θ ≤ 70°), by intensity:
29.48°, rel. 100.0, hkl 2 2 0
20.73°, rel. 95.5, hkl 2 0 0
17.93°, rel. 93.5, hkl 1 1 1
42.18°, rel. 75.6, hkl 4 0 0
34.72°, rel. 47.0, hkl 3 1 1
61.18°, rel. 43.0, hkl 4 4 0
52.30°, rel. 40.2, hkl 4 2 2
47.45°, rel. 38.6, hkl 4 2 0
46.17°, rel. 18.2, hkl 3 3 1
55.74°, rel. 18.1, hkl 5 1 1

=====

# 3
Cu9Se4Cl6O14: theoretical XRD peak list (Cu Kα, 1.54184 Å), based on a crystal structure in the Materials Project, relaxed with GGA-PBE.

```
data_Cu9Se4Cl6O14
_symmetry_space_group_name_H-M 'C 1 2/m 1'
_symmetry_Int_Tables_number 12
_symmetry_space_group_name_Hall '-C 2y'
_cell_length_a 15.3254
_cell_length_b 6.3223
_cell_length_c 13.2903
_cell_angle_alpha 90.00
_cell_angle_beta 120.18
_cell_angle_gamma 90.00
loop_
_atom_site_label
_atom_site_type_symbol
_atom_site_fract_x
_atom_site_fract_y
_atom_site_fract_z
Cu1 Cu 0.0000 0.0000 0.0000
Cu2 Cu 0.1155 0.0000 0.2848
Cu3 Cu 0.1216 0.5000 0.5938
Cu4 Cu 0.2109 0.0000 0.7653
Cu5 Cu 0.2500 0.2500 0.5000
Se1 Se 0.0394 0.5000 0.3052
Se2 Se 0.2459 0.0000 0.1378
Cl1 Cl 0.0513 0.0000 0.8612
Cl2 Cl 0.1329 0.0000 0.5703
Cl3 Cl 0.1639 0.5000 0.0530
O1 O 0.0158 0.5000 0.4208
O2 O 0.1259 0.2935 0.3458
O3 O 0.1315 0.0000 0.1356
O4 O 0.1880 0.3071 0.7540
O5 O 0.2414 0.5000 0.5791
```

The 10 most intense peaks (5° ≤ 2θ ≤ 70°), by intensity:
28.23°, rel. 100.0, hkl 0 2 0
15.78°, rel. 86.2, hkl 1 1 -1
25.20°, rel. 80.0, hkl 4 0 -3
7.69°, rel. 77.3, hkl 0 0 1
39.41°, rel. 54.3, hkl 2 2 -4
32.35°, rel. 44.2, hkl 2 0 3
34.29°, rel. 40.4, hkl 3 1 2
13.37°, rel. 39.0, hkl 2 0 0
36.68°, rel. 38.5, hkl 3 1 -5
35.27°, rel. 37.4, hkl 6 0 -3

=====

# 4
ErMgHg2: theoretical XRD peak list (Cu Kα, 1.54184 Å), based on a crystal structure in the Materials Project, relaxed with GGA-PBE.

```
data_ErMgHg2
_symmetry_space_group_name_H-M 'F m -3 m'
_symmetry_Int_Tables_number 225
_symmetry_space_group_name_Hall '-F 4 2 3'
_cell_length_a 7.1533
_cell_length_b 7.1533
_cell_length_c 7.1533
_cell_angle_alpha 90.00
_cell_angle_beta 90.00
_cell_angle_gamma 90.00
loop_
_atom_site_label
_atom_site_type_symbol
_atom_site_fract_x
_atom_site_fract_y
_atom_site_fract_z
Er1 Er 0.0000 0.0000 0.0000
Mg1 Mg 0.0000 0.0000 0.5000
Hg1 Hg 0.2500 0.2500 0.2500
```

The 10 most intense peaks (5° ≤ 2θ ≤ 70°), by intensity:
35.50°, rel. 100.0, hkl 2 2 0
63.74°, rel. 37.2, hkl 4 2 2
51.07°, rel. 18.0, hkl 4 0 0
24.89°, rel. 15.1, hkl 2 0 0
21.52°, rel. 12.9, hkl 1 1 1
41.89°, rel. 7.0, hkl 3 1 1
57.63°, rel. 6.5, hkl 4 2 0
43.84°, rel. 4.8, hkl 2 2 2
56.04°, rel. 3.0, hkl 3 3 1
68.11°, rel. 2.3, hkl 5 1 1

=====

# 5
Mg14GaBi: theoretical XRD peak list (Cu Kα, 1.54184 Å), based on a crystal structure in the Materials Project, relaxed with GGA-PBE.

```
data_Mg14GaBi
_symmetry_space_group_name_H-M 'P -6 m 2'
_symmetry_Int_Tables_number 187
_symmetry_space_group_name_Hall 'P -6 2'
_cell_length_a 6.3957
_cell_length_b 6.3957
_cell_length_c 10.3351
_cell_angle_alpha 90.00
_cell_angle_beta 90.00
_cell_angle_gamma 120.00
loop_
_atom_site_label
_atom_site_type_symbol
_atom_site_fract_x
_atom_site_fract_y
_atom_site_fract_z
Mg1 Mg 0.0000 0.0000 0.2492
Mg2 Mg 0.3328 0.1664 0.0000
Mg3 Mg 0.3325 0.1663 0.5000
Mg4 Mg 0.5021 0.0042 0.2553
Ga1 Ga 0.3333 0.6667 0.5000
Bi1 Bi 0.3333 0.6667 0.0000
```

The 10 most intense peaks (5° ≤ 2θ ≤ 70°), by intensity:
36.82°, rel. 100.0, hkl 2 0 2
16.00°, rel. 58.5, hkl 1 0 0
23.55°, rel. 51.1, hkl 1 0 2
32.33°, rel. 31.5, hkl 2 0 0
18.17°, rel. 29.7, hkl 1 0 1
34.72°, rel. 25.0, hkl 0 0 4
8.56°, rel. 22.8, hkl 0 0 1
32.94°, rel. 21.9, hkl 1 1 2
48.17°, rel. 20.6, hkl 2 0 4
63.61°, rel. 19.5, hkl 2 0 6

=====

# 6
RbMgAlF6: theoretical XRD peak list (Cu Kα, 1.54184 Å), based on a crystal structure in the Materials Project, relaxed with GGA-PBE.

```
data_RbMgAlF6
_symmetry_space_group_name_H-M 'I m m a'
_symmetry_Int_Tables_number 74
_symmetry_space_group_name_Hall '-I 2b 2'
_cell_length_a 7.1107
_cell_length_b 7.2210
_cell_length_c 10.1081
_cell_angle_alpha 90.00
_cell_angle_beta 90.00
_cell_angle_gamma 90.00
loop_
_atom_site_label
_atom_site_type_symbol
_atom_site_fract_x
_atom_site_fract_y
_atom_site_fract_z
Rb1 Rb 0.0000 0.2500 0.1309
Mg1 Mg 0.0000 0.0000 0.5000
Al1 Al 0.2500 0.2500 0.7500
F1 F 0.0000 0.2500 0.4189
F2 F 0.0000 0.2500 0.8027
F3 F 0.2052 0.0716 0.6282
```

The 10 most intense peaks (5° ≤ 2θ ≤ 70°), by intensity:
29.36°, rel. 100.0, hkl 2 1 1
29.29°, rel. 80.1, hkl 1 0 3
29.11°, rel. 67.0, hkl 1 2 1
24.88°, rel. 62.5, hkl 1 1 2
51.05°, rel. 62.4, hkl 2 2 4
35.46°, rel. 56.2, hkl 0 0 4
46.37°, rel. 35.8, hkl 0 3 3
46.86°, rel. 28.5, hkl 3 0 3
38.88°, rel. 25.1, hkl 2 1 3
24.66°, rel. 22.4, hkl 0 2 0

=====

# 7
MnGa6: theoretical XRD peak list (Cu Kα, 1.54184 Å), based on a crystal structure in the Materials Project, relaxed with GGA-PBE.

```
data_MnGa6
_symmetry_space_group_name_H-M 'C m c m'
_symmetry_Int_Tables_number 63
_symmetry_space_group_name_Hall '-C 2c 2'
_cell_length_a 7.6030
_cell_length_b 6.5599
_cell_length_c 8.9112
_cell_angle_alpha 90.00
_cell_angle_beta 90.00
_cell_angle_gamma 90.00
loop_
_atom_site_label
_atom_site_type_symbol
_atom_site_fract_x
_atom_site_fract_y
_atom_site_fract_z
Mn1 Mn 0.0000 0.0527 0.2500
Ga1 Ga 0.0000 0.3683 0.0996
Ga2 Ga 0.1735 0.0000 0.0000
Ga3 Ga 0.1795 0.2789 0.7500
```

The 10 most intense peaks (5° ≤ 2θ ≤ 70°), by intensity:
43.33°, rel. 100.0, hkl 3 1 2
39.44°, rel. 99.4, hkl 3 1 1
33.94°, rel. 85.4, hkl 0 2 2
41.64°, rel. 82.6, hkl 2 2 2
35.20°, rel. 59.8, hkl 1 1 3
44.58°, rel. 50.3, hkl 1 1 4
43.04°, rel. 47.8, hkl 1 3 0
40.99°, rel. 46.2, hkl 0 2 3
47.29°, rel. 34.2, hkl 2 0 4
44.29°, rel. 33.7, hkl 1 3 1

=====

# 8
Li5AlO4: theoretical XRD peak list (Cu Kα, 1.54184 Å), based on a crystal structure in the Materials Project, relaxed with GGA-PBE.

```
data_Li5AlO4
_symmetry_space_group_name_H-M 'P m m n'
_symmetry_Int_Tables_number 59
_cell_length_a 6.3662
_cell_length_b 6.4831
_cell_length_c 4.6696
_cell_angle_alpha 90.00
_cell_angle_beta 90.00
_cell_angle_gamma 90.00
loop_
_symmetry_equiv_pos_as_xyz
'x,y,z'
'-x,-y,-z'
'-x+1/2,-y+1/2,z'
'x+1/2,y+1/2,-z'
'x+1/2,-y,-z'
'-x+1/2,y,z'
'-x,y+1/2,-z'
'x,-y+1/2,z'
loop_
_atom_site_label
_atom_site_type_symbol
_atom_site_fract_x
_atom_site_fract_y
_atom_site_fract_z
Li1 Li 0.0112 0.0525 0.2453
Li2 Li 0.2500 0.7500 0.2960
Al1 Al 0.2500 0.2500 0.7245
O1 O 0.0142 0.2500 0.9292
O2 O 0.2500 0.0181 0.5166
```

The 10 most intense peaks (5° ≤ 2θ ≤ 70°), by intensity:
34.09°, rel. 100.0, hkl 2 0 1
23.48°, rel. 93.9, hkl 0 1 1
19.54°, rel. 79.8, hkl 1 1 0
56.53°, rel. 75.2, hkl 2 2 2
33.66°, rel. 69.0, hkl 0 2 1
23.63°, rel. 36.1, hkl 1 0 1
46.29°, rel. 31.5, hkl 0 3 1
68.68°, rel. 24.6, hkl 2 1 3
57.94°, rel. 23.9, hkl 4 0 0
36.88°, rel. 19.9, hkl 2 1 1

=====

# 9
Na2Cu5Si4O14: theoretical XRD peak list (Cu Kα, 1.54184 Å), based on a crystal structure in the Materials Project, relaxed with GGA-PBE.

```
data_Na2Cu5Si4O14
_symmetry_space_group_name_H-M 'P -1'
_symmetry_Int_Tables_number 2
_symmetry_space_group_name_Hall '-P 1'
_cell_length_a 5.8341
_cell_length_b 7.9265
_cell_length_c 8.1143
_cell_angle_alpha 63.32
_cell_angle_beta 86.93
_cell_angle_gamma 68.92
loop_
_atom_site_label
_atom_site_type_symbol
_atom_site_fract_x
_atom_site_fract_y
_atom_site_fract_z
Na1 Na 0.2317 0.1314 0.0590
Cu1 Cu 0.1855 0.4354 0.2258
Cu2 Cu 0.4168 0.3955 0.6805
Cu3 Cu 0.5000 0.0000 0.5000
Si1 Si 0.0143 0.2390 0.6353
Si2 Si 0.3089 0.7866 0.9091
O1 O 0.0638 0.0044 0.7943
O2 O 0.0914 0.3584 0.7334
O3 O 0.1929 0.2209 0.4750
O4 O 0.1964 0.6101 0.9708
O5 O 0.2805 0.6440 0.4487
O6 O 0.4229 0.8042 0.0772
O7 O 0.4858 0.2052 0.2430
```

The 10 most intense peaks (5° ≤ 2θ ≤ 70°), by intensity:
27.82°, rel. 100.0, hkl 1 2 2
33.95°, rel. 79.8, hkl -1 2 1
33.50°, rel. 48.9, hkl 0 1 -2
23.83°, rel. 39.5, hkl 1 2 1
13.49°, rel. 36.1, hkl 0 1 0
28.75°, rel. 24.6, hkl -1 1 2
18.35°, rel. 22.2, hkl 1 1 1
33.38°, rel. 21.2, hkl 2 2 1
37.06°, rel. 19.5, hkl 2 0 1
49.45°, rel. 16.4, hkl 1 1 4

=====

What is the formula in the sixth record? RbMgAlF6